The following is a computed powder diffraction line list of Na2VGa2O6. It was derived from DFT lattice parameters and positions (PBE+U), using Cu Ka.
Kinematic intensities with the Lorentz-polarization factor, no thermal factor.

Principal peaks in the range 2θ from 10° to 90°, sorted by position:
- hkl 0 0 1, 2θ = 15.61°, intensity 100
- hkl 0 0 2, 2θ = 31.52°, intensity 15
- hkl 1 1 0, 2θ = 34.92°, intensity 43
- hkl 2 -1 1, 2θ = 38.46°, intensity 38
- hkl 2 -1 2, 2θ = 47.75°, intensity 71
- hkl 1 1 3, 2θ = 60.79°, intensity 15
- hkl 3 0 0, 2θ = 62.63°, intensity 20
- hkl 1 1 4, 2θ = 76.72°, intensity 13

Structure:
```
data_Na2VGa2O6
_chemical_formula_sum 'Na2 V1 Ga2 O6'
_cell_length_a 5.1381
_cell_length_b 5.1381
_cell_length_c 5.6769
_cell_angle_alpha 90.00
_cell_angle_beta 90.00
_cell_angle_gamma 120.00
_symmetry_space_group_name_H-M 'P 1'
_symmetry_Int_Tables_number 1
loop_
_symmetry_equiv_pos_as_xyz
'x,y,z'
loop_
_atom_site_label
_atom_site_type_symbol
_atom_site_fract_x
_atom_site_fract_y
_atom_site_fract_z
Na1 Na 0.3333 0.6667 0.0000
Na2 Na 0.6667 0.3333 0.0000
V1 V 0.0000 0.0000 0.5000
Ga1 Ga 0.3333 0.6667 0.5000
Ga2 Ga 0.6667 0.3333 0.5000
O1 O 0.0000 0.3291 0.6863
O2 O 0.0000 0.6709 0.3137
O3 O 0.3291 0.0000 0.6863
O4 O 0.3291 0.3291 0.3137
O5 O 0.6709 0.0000 0.3137
O6 O 0.6709 0.6709 0.6863
```